Starting from a GGA+U-relaxed structure, the X-ray powder pattern of Sr3Co2Cu2S2O5 was calculated for Cu Kα X-rays.
No peak broadening, texture or thermal motion is included.

Largest 6 diffraction maxima, sorted by position, 15 to 90 degrees two-theta:
32.4°, 2.763 Å, rel. 100
32.9°, 2.722 Å, rel. 25
38.0°, 2.369 Å, rel. 32
46.2°, 1.964 Å, rel. 46
57.6°, 1.601 Å, rel. 37
57.9°, 1.592 Å, rel. 26

Cell and atoms:
Cell: 13.8803 13.8803 13.8803 Å, 163.73 163.73 23.09°
Fractional positions:
Sr 0.0000 0.0000 0.0000
Sr 0.1369 0.1369 0.0000
Sr 0.8631 0.8631 0.0000
Co 0.4295 0.4295 0.0000
Co 0.5705 0.5705 0.0000
Cu 0.2500 0.7500 0.5000
Cu 0.7500 0.2500 0.5000
S 0.3005 0.3005 0.0000
S 0.6995 0.6995 0.0000
O 0.0812 0.5812 0.5000
O 0.4188 0.9188 0.5000
O 0.5000 0.5000 0.0000
O 0.5812 0.0812 0.5000
O 0.9188 0.4188 0.5000

Starting from a GGA+U-relaxed structure, the X-ray powder pattern of VSbO4 was calculated for Cu Kα X-rays.
No peak broadening, texture or thermal motion is included.

Largest 6 diffraction maxima, sorted by position, 15 to 90 degrees two-theta:
19.0°, 4.674 Å, rel. 48
26.7°, 3.345 Å, rel. 71
27.3°, 3.267 Å, rel. 66
34.3°, 2.615 Å, rel. 100
52.1°, 1.754 Å, rel. 46
52.9°, 1.731 Å, rel. 43

Cell and atoms:
Cell: 4.6756 4.6756 3.1547 Å, 90.00 90.00 91.34°
Fractional positions:
V 0.0000 0.0000 0.0000
Sb 0.5000 0.5000 0.5000
O 0.1982 0.1982 0.5000
O 0.3053 0.6947 0.0000
O 0.6947 0.3053 0.0000
O 0.8018 0.8018 0.5000